Diffraction record for Li8Ce7Ge10. The powder XRD pattern is simulated, not measured: it uses a DFT-relaxed cell (PBE, the Materials Project) and Cu Ka.
Peak positions follow from Bragg's law for the DFT cell and can differ from measured ones.

a = 16.952 Å, b = 16.952 Å, c = 4.459 Å
α = 90.00°, β = 90.00°, γ = 156.92°
Atoms (fractional coordinates):
Li1 0.044 0.330 0.000
Li2 0.236 0.387 0.500
Li3 0.330 0.044 0.000
Li4 0.387 0.236 0.500
Li5 0.613 0.764 0.500
Li6 0.670 0.956 0.000
Li7 0.764 0.613 0.500
Li8 0.956 0.670 0.000
Ce1 0.056 0.944 0.000
Ce2 0.221 0.779 0.500
Ce3 0.337 0.663 0.500
Ce4 0.500 0.500 0.000
Ce5 0.663 0.337 0.500
Ce6 0.779 0.221 0.500
Ce7 0.944 0.056 0.000
Ge1 0.099 0.528 0.000
Ge2 0.126 0.874 0.500
Ge3 0.189 0.189 0.500
Ge4 0.406 0.594 0.000
Ge5 0.472 0.901 0.000
Ge6 0.528 0.099 0.000
Ge7 0.594 0.406 0.000
Ge8 0.811 0.811 0.500
Ge9 0.874 0.126 0.500
Ge10 0.901 0.472 0.000

Most intense lines, 10 to 80 degrees two-theta, by angle:
Position (°2θ), d/Å, I (rel.)
10.7, 8.304, 18
22.9, 3.888, 14
25.7, 3.473, 14
26.3, 3.392, 24
32.5, 2.759, 21
33.6, 2.665, 74
34.2, 2.622, 100
40.5, 2.230, 28
44.4, 2.041, 16
69.6, 1.351, 18